Theoretical powder XRD pattern of Hg2SN2Cl4O3 for λ = 1.5418 Å (Cu Kα), from a cell relaxed with GGA-PBE.
Intensities are scaled so that the largest is 100.

Atomic structure:
```
data_Hg2SN2Cl4O3
_cell_length_a 10.5353
_cell_length_b 5.4170
_cell_length_c 13.0067
_cell_angle_alpha 90.00
_cell_angle_beta 99.64
_cell_angle_gamma 90.00
_space_group_name_H-M_alt 'P 1 21/m 1'
_space_group_IT_number 11
loop_
_space_group_symop_operation_xyz
'x,y,z'
'-x,-y,-z'
'-x,y+1/2,-z'
'x,-y+1/2,z'
loop_
_atom_site_label
_atom_site_fract_x
_atom_site_fract_y
_atom_site_fract_z
Hg1 0.0019 0.2500 0.3788
Hg2 0.0167 0.7500 0.1260
S1 0.4302 0.7500 0.2244
N1 0.3345 0.2500 0.8593
N2 0.3591 0.7500 0.5716
Cl1 0.1251 0.7500 0.7852
Cl2 0.1319 0.2500 0.0281
Cl3 0.1335 0.2500 0.5415
Cl4 0.1569 0.7500 0.2859
O1 0.4006 0.5205 0.1706
O2 0.4926 0.7500 0.3315
```

Most intense lines, 10° ≤ 2θ ≤ 90°, in order of falling intensity:
2theta	d_spacing	Rel. int.	index
22.25	3.995	100	1 1 -2
26.04	3.421	85	2 1 -2
17.07	5.193	76	2 0 0
21.47	4.138	68	0 1 2
31.86	2.809	67	3 1 -2
45.63	1.988	35	0 1 6
34.21	2.621	35	1 2 0
33.07	2.709	32	0 2 0
23.99	3.709	22	1 1 2
37.44	2.402	22	2 2 0